(1)
Calculated PXRD pattern of Li3Te for Cu Kα, 1.54184 Å, from a PBE-relaxed structure.
Kinematic intensities with the Lorentz-polarization factor, no thermal factor.

Crystal structure
Cell lengths 6.2301, 6.2301, 4.5627 Å; angles 90.00, 90.00, 120.00 degrees
Atoms (fractional coordinates):
Li1 0.1668 0.3336 0.2500
Li2 0.1668 0.8332 0.2500
Li3 0.3336 0.1668 0.7500
Li4 0.6664 0.8332 0.2500
Li5 0.8332 0.1668 0.7500
Li6 0.8332 0.6664 0.7500
Te1 0.3333 0.6667 0.7500
Te2 0.6667 0.3333 0.2500

Peak list (10 most intense, 2θ = 10–90°, by angle)
16.43 deg, intensity 48; 25.57 deg, intensity 100; 28.66 deg, intensity 50; 33.21 deg, intensity 12; 38.78 deg, intensity 45; 39.50 deg, intensity 10; 48.92 deg, intensity 34; 49.52 deg, intensity 22; 50.76 deg, intensity 10; 65.66 deg, intensity 14

---

(2)
Calculated PXRD pattern of Bi2Te7Cl8 for Cu Kα, 1.54184 Å, from a PBE-relaxed structure.
Kinematic intensities with the Lorentz-polarization factor, no thermal factor.

Crystal structure
Cell lengths 5.5987, 13.5531, 15.5188 Å; angles 103.82, 95.23, 96.46 degrees
Atoms (fractional coordinates):
Bi1 0.0000 0.0000 0.0000
Bi2 0.1090 0.3359 0.1114
Bi3 0.2924 0.1504 0.3318
Bi4 0.4159 0.4850 0.4508
Te1 0.0185 0.7229 0.2823
Te2 0.0393 0.7880 0.5726
Te3 0.1501 0.0941 0.6783
Te4 0.2593 0.3924 0.7718
Te5 0.3737 0.6999 0.8768
Te6 0.3968 0.7614 0.1583
Te7 0.4289 0.9011 0.6869
Te8 0.5565 0.2319 0.7938
Te9 0.6435 0.5957 0.1617
Te10 0.6646 0.5486 0.8889
Te11 0.7339 0.9314 0.5534
Te12 0.7619 0.8849 0.2844
Te13 0.8584 0.2506 0.6568
Te14 0.9777 0.5762 0.7558
Cl1 0.0053 0.8963 0.8365
Cl2 0.0481 0.4828 0.2578
Cl3 0.1170 0.1922 0.9477
Cl4 0.2001 0.9866 0.4110
Cl5 0.2235 0.4955 0.0353
Cl6 0.2984 0.2946 0.4984
Cl7 0.3651 0.0050 0.1862
Cl8 0.4087 0.5857 0.6109
Cl9 0.4795 0.3206 0.2844
Cl10 0.5508 0.0167 0.9518
Cl11 0.5585 0.6628 0.4135
Cl12 0.6838 0.3427 0.0519
Cl13 0.7398 0.1374 0.3950
Cl14 0.8570 0.4631 0.4920
Cl15 0.8565 0.8210 0.0289
Cl16 0.9351 0.1674 0.1664

Peak list (10 most intense, 2θ = 10–90°, by angle)
17.37 deg, intensity 100; 19.76 deg, intensity 57; 20.20 deg, intensity 30; 20.54 deg, intensity 32; 24.24 deg, intensity 30; 24.64 deg, intensity 31; 32.12 deg, intensity 36; 33.18 deg, intensity 30; 39.73 deg, intensity 30; 41.04 deg, intensity 37

---

(3)
Calculated PXRD pattern of Y2AlCd for Cu Kα, 1.54184 Å, from a PBE-relaxed structure.
Kinematic intensities with the Lorentz-polarization factor, no thermal factor.

Crystal structure
Cell lengths 5.2128, 5.2128, 5.2128 Å; angles 60.00, 60.00, 60.00 degrees
Atoms (fractional coordinates):
Y1 0.2500 0.2500 0.2500
Y2 0.7500 0.7500 0.7500
Al1 0.0000 0.0000 0.0000
Cd1 0.5000 0.5000 0.5000

Peak list (10 most intense, 2θ = 10–90°, by angle)
20.87 deg, intensity 17; 34.41 deg, intensity 100; 40.59 deg, intensity 9; 49.45 deg, intensity 17; 54.24 deg, intensity 4; 61.63 deg, intensity 35; 65.83 deg, intensity 3; 72.53 deg, intensity 11; 76.44 deg, intensity 3; 82.81 deg, intensity 15